# 1
Starting from a cell relaxed with PBE, the powder diffraction line list of TlVAg2S4 was computed for Cu Kα X-rays.
Lines closer than 0.1° are merged.

Most intense lines, 10° ≤ 2θ ≤ 90°, most intense first:
- 2θ 27.39, I 100
- 2θ 48.52, I 40
- 2θ 27.48, I 29
- 2θ 48.36, I 28
- 2θ 32.32, I 18
- 2θ 16.69, I 17
- 2θ 39.17, I 12
- 2θ 39.32, I 12
- 2θ 32.17, I 10
- 2θ 77.77, I 10
- 2θ 63.75, I 9
- 2θ 77.48, I 9

```
TlVAg2S4
1.0
0.0000 4.5993 4.6198
4.5824 0.0000 4.6198
4.5824 4.5993 0.0000
Tl V Ag S
1 1 2 4
direct
0.0000 0.0000 0.0000 Tl
0.4964 0.4964 0.5036 V
0.2471 0.2471 0.2529 Ag
0.7471 0.7471 0.7529 Ag
0.1658 0.5522 0.8342 S
0.4416 0.8261 0.1739 S
0.5522 0.1658 0.4478 S
0.8261 0.4416 0.5584 S
```

# 2
Starting from a cell relaxed with PBE, the powder diffraction line list of TlAgWS4 was computed for Cu Kα X-rays.
Lines closer than 0.1° are merged.

Most intense lines, 10° ≤ 2θ ≤ 90°, most intense first:
- 2θ 26.11, I 100
- 2θ 20.50, I 65
- 2θ 24.21, I 59
- 2θ 43.09, I 53
- 2θ 37.47, I 28
- 2θ 39.52, I 25
- 2θ 38.24, I 23
- 2θ 14.54, I 20
- 2θ 57.29, I 18
- 2θ 41.69, I 15
- 2θ 53.18, I 14
- 2θ 38.38, I 14

```
TlAgWS4
1.0
4.3333 -6.0902 0.0000
4.3333 6.0902 0.0000
0.0000 0.0000 7.7984
Tl Ag W S
2 2 2 8
direct
0.0000 0.0000 0.0000 Tl
0.0000 0.0000 0.5000 Tl
0.3836 0.6164 0.7500 Ag
0.6164 0.3836 0.2500 Ag
0.3679 0.6321 0.2500 W
0.6321 0.3679 0.7500 W
0.2571 0.3153 0.2500 S
0.2626 0.7374 0.0197 S
0.2626 0.7374 0.4803 S
0.3153 0.2571 0.7500 S
0.6847 0.7429 0.2500 S
0.7374 0.2626 0.5197 S
0.7374 0.2626 0.9803 S
0.7429 0.6847 0.7500 S
```